1.
This entry pairs a crystal structure of DyFe3 with its calculated powder diffraction line list. Radiation: Cu Kα (weighted mean of Kα1 and Kα2). Structure: a cell relaxed with GGA-PBE.
Neutral-atom scattering factors, no anomalous dispersion.

Principal peaks in the range 2θ from 10° to 90°, sorted by position:
- 20.38°, I = 13.6
- 32.77°, I = 52.7
- 35.08°, I = 57.4
- 35.84°, I = 36.0
- 40.91°, I = 39.3
- 41.76°, I = 100.0
- 61.48°, I = 17.3
- 63.43°, I = 13.8
- 67.51°, I = 22.8
- 74.14°, I = 21.0

Crystal structure
Unit cell a=8.6244 b=8.6244 c=8.6244 alpha=34.50 beta=34.50 gamma=34.50
Atoms (fractional coordinates):
Dy 0.0000 0.0000 0.0000
Dy 0.1417 0.1417 0.1417
Dy 0.8583 0.8583 0.8583
Fe 0.0827 0.5806 0.5806
Fe 0.3329 0.3329 0.3329
Fe 0.4194 0.4194 0.9173
Fe 0.4194 0.9173 0.4194
Fe 0.5000 0.5000 0.5000
Fe 0.5806 0.0827 0.5806
Fe 0.5806 0.5806 0.0827
Fe 0.6671 0.6671 0.6671
Fe 0.9173 0.4194 0.4194

2.
This entry pairs a crystal structure of Dy4Fe with its calculated powder diffraction line list. Radiation: Cu Kα (weighted mean of Kα1 and Kα2). Structure: a cell relaxed with GGA-PBE.
Neutral-atom scattering factors, no anomalous dispersion.

Principal peaks in the range 2θ from 10° to 90°, sorted by position:
- 29.29°, I = 100.0
- 33.95°, I = 41.1
- 37.10°, I = 7.4
- 44.58°, I = 8.5
- 48.77°, I = 41.2
- 57.92°, I = 39.5
- 60.76°, I = 9.2
- 71.46°, I = 5.9
- 79.04°, I = 14.3
- 81.52°, I = 10.6

Crystal structure
Unit cell a=7.4683 b=7.4683 c=7.4683 alpha=60.00 beta=60.00 gamma=60.00
Atoms (fractional coordinates):
Dy 0.2215 0.7595 0.7595
Dy 0.2405 0.2405 0.2405
Dy 0.2405 0.2405 0.7785
Dy 0.2405 0.7785 0.2405
Dy 0.7595 0.2215 0.7595
Dy 0.7595 0.7595 0.2215
Dy 0.7595 0.7595 0.7595
Dy 0.7785 0.2405 0.2405
Fe 0.3750 0.3750 0.3750
Fe 0.6250 0.6250 0.6250

3.
This entry pairs a crystal structure of Dy6Fe23 with its calculated powder diffraction line list. Radiation: Cu Kα (weighted mean of Kα1 and Kα2). Structure: a cell relaxed with GGA-PBE.
Neutral-atom scattering factors, no anomalous dispersion.

Principal peaks in the range 2θ from 10° to 90°, sorted by position:
- 25.64°, I = 28.0
- 29.69°, I = 20.1
- 32.42°, I = 21.8
- 36.57°, I = 30.2
- 38.88°, I = 81.4
- 42.49°, I = 100.0
- 54.44°, I = 16.1
- 63.24°, I = 18.9
- 65.84°, I = 21.2
- 82.99°, I = 17.7

Crystal structure
Unit cell a=8.5109 b=8.5109 c=8.5109 alpha=60.00 beta=60.00 gamma=60.00
Atoms (fractional coordinates):
Dy 0.2102 0.2102 0.7898
Dy 0.2102 0.7898 0.2102
Dy 0.2102 0.7898 0.7898
Dy 0.7898 0.2102 0.2102
Dy 0.7898 0.2102 0.7898
Dy 0.7898 0.7898 0.2102
Fe 0.0000 0.0000 0.5000
Fe 0.0000 0.5000 0.0000
Fe 0.0000 0.5000 0.5000
Fe 0.1347 0.6218 0.6218
Fe 0.1758 0.1758 0.1758
Fe 0.1758 0.1758 0.4725
Fe 0.1758 0.4725 0.1758
Fe 0.3782 0.3782 0.3782
Fe 0.3782 0.3782 0.8653
Fe 0.3782 0.8653 0.3782
Fe 0.4725 0.1758 0.1758
Fe 0.5000 0.0000 0.0000
Fe 0.5000 0.0000 0.5000
Fe 0.5000 0.5000 0.0000
Fe 0.5000 0.5000 0.5000
Fe 0.5275 0.8242 0.8242
Fe 0.6218 0.1347 0.6218
Fe 0.6218 0.6218 0.1347
Fe 0.6218 0.6218 0.6218
Fe 0.8242 0.5275 0.8242
Fe 0.8242 0.8242 0.5275
Fe 0.8242 0.8242 0.8242
Fe 0.8653 0.3782 0.3782

Number 3 is which compound? Dy6Fe23

Copy entry 1 word for word.
This entry pairs a crystal structure of DyFe3 with its calculated powder diffraction line list. Radiation: Cu Kα (weighted mean of Kα1 and Kα2). Structure: a cell relaxed with GGA-PBE.
Neutral-atom scattering factors, no anomalous dispersion.

Principal peaks in the range 2θ from 10° to 90°, sorted by position:
- 20.38°, I = 13.6
- 32.77°, I = 52.7
- 35.08°, I = 57.4
- 35.84°, I = 36.0
- 40.91°, I = 39.3
- 41.76°, I = 100.0
- 61.48°, I = 17.3
- 63.43°, I = 13.8
- 67.51°, I = 22.8
- 74.14°, I = 21.0

Crystal structure
Unit cell a=8.6244 b=8.6244 c=8.6244 alpha=34.50 beta=34.50 gamma=34.50
Atoms (fractional coordinates):
Dy 0.0000 0.0000 0.0000
Dy 0.1417 0.1417 0.1417
Dy 0.8583 0.8583 0.8583
Fe 0.0827 0.5806 0.5806
Fe 0.3329 0.3329 0.3329
Fe 0.4194 0.4194 0.9173
Fe 0.4194 0.9173 0.4194
Fe 0.5000 0.5000 0.5000
Fe 0.5806 0.0827 0.5806
Fe 0.5806 0.5806 0.0827
Fe 0.6671 0.6671 0.6671
Fe 0.9173 0.4194 0.4194

Repeat the first record exactly.
This entry pairs a crystal structure of DyFe3 with its calculated powder diffraction line list. Radiation: Cu Kα (weighted mean of Kα1 and Kα2). Structure: a cell relaxed with GGA-PBE.
Neutral-atom scattering factors, no anomalous dispersion.

Principal peaks in the range 2θ from 10° to 90°, sorted by position:
- 20.38°, I = 13.6
- 32.77°, I = 52.7
- 35.08°, I = 57.4
- 35.84°, I = 36.0
- 40.91°, I = 39.3
- 41.76°, I = 100.0
- 61.48°, I = 17.3
- 63.43°, I = 13.8
- 67.51°, I = 22.8
- 74.14°, I = 21.0

Crystal structure
Unit cell a=8.6244 b=8.6244 c=8.6244 alpha=34.50 beta=34.50 gamma=34.50
Atoms (fractional coordinates):
Dy 0.0000 0.0000 0.0000
Dy 0.1417 0.1417 0.1417
Dy 0.8583 0.8583 0.8583
Fe 0.0827 0.5806 0.5806
Fe 0.3329 0.3329 0.3329
Fe 0.4194 0.4194 0.9173
Fe 0.4194 0.9173 0.4194
Fe 0.5000 0.5000 0.5000
Fe 0.5806 0.0827 0.5806
Fe 0.5806 0.5806 0.0827
Fe 0.6671 0.6671 0.6671
Fe 0.9173 0.4194 0.4194